Computed powder X-ray diffraction pattern of TlSb4Pb5 for CuKα, from a crystal structure in Alexandria, relaxed with PBE.
Intensities are scaled so that the largest is 100.

Structural model:
```
TlSb4Pb5
1.0
9.1316 -2.3685 0.0000
9.1316 2.3685 0.0000
-1.4627 0.0000 7.9299
Tl Sb Pb
1 4 5
direct
0.0000 0.0000 0.0000 Tl
0.1495 0.1495 0.2968 Sb
0.4447 0.4447 0.2253 Sb
0.5553 0.5553 0.7747 Sb
0.8505 0.8505 0.7032 Sb
0.0000 0.0000 0.5000 Pb
0.3086 0.3086 0.9432 Pb
0.3224 0.3224 0.4397 Pb
0.6776 0.6776 0.5603 Pb
0.6914 0.6914 0.0568 Pb
```

Largest 10 diffraction maxima, most intense first, 15° ≤ 2θ ≤ 90°:
2θ 31.08, d = 2.877 Å, I = 100.0; 2θ 23.95, d = 3.715 Å, I = 57.5; 2θ 34.91, d = 2.570 Å, I = 39.5; 2θ 37.99, d = 2.369 Å, I = 39.3; 2θ 29.86, d = 2.992 Å, I = 36.7; 2θ 30.49, d = 2.931 Å, I = 34.4; 2θ 39.96, d = 2.256 Å, I = 24.3; 2θ 34.10, d = 2.629 Å, I = 24.2; 2θ 60.31, d = 1.535 Å, I = 21.5; 2θ 51.02, d = 1.790 Å, I = 21.0